Entry 1:
The following is a simulated powder diffraction line list of Na2InGaAg2Au2. It was derived from a PBE-relaxed structure, using Cu Kα.

Top 12 peaks for 5° ≤ 2θ ≤ 70°, most intense first:
| h k l | Position (°2θ) | intensity |
| --- | --- | --- |
| 1 1 2 | 37.4 | 100 |
| 2 0 0 | 37.9 | 49 |
| 3 1 2 | 68.2 | 33 |
| 1 1 0 | 26.6 | 24 |
| 1 0 1 | 22.7 | 23 |
| 2 2 0 | 54.7 | 17 |
| 2 0 4 | 67.1 | 16 |
| 0 0 2 | 25.8 | 12 |
| 2 0 2 | 46.5 | 10 |
| 2 1 1 | 44.7 | 9 |
| 0 0 4 | 53.1 | 8 |
| 3 1 0 | 61.8 | 5 |

Atomic structure:
```
8
Lattice="4.745 0.000 0.000 0.000 4.745 0.000 0.000 0.000 6.896" Properties=species:S:1:pos:R:3 pbc="T T T"
Na 0.000 0.000 0.000
Na 2.372 2.372 3.448
In 0.000 0.000 3.448
Ga 2.372 2.372 0.000
Ag 0.000 2.372 5.277
Ag 2.372 0.000 1.619
Au 0.000 2.372 1.615
Au 2.372 0.000 5.281
```

***

Entry 2:
The following is a simulated powder diffraction line list of Li2La2Ga2AgAu. It was derived from a PBE-relaxed structure, using Cu Kα.

Top 12 peaks for 5° ≤ 2θ ≤ 70°, most intense first:
| h k l | Position (°2θ) | intensity |
| --- | --- | --- |
| 2 0 0 | 36.6 | 100 |
| 1 0 1 | 22.1 | 46 |
| 3 1 2 | 65.8 | 35 |
| 2 1 1 | 43.2 | 24 |
| 2 2 0 | 52.7 | 17 |
| 3 0 1 | 57.8 | 10 |
| 0 0 1 | 12.7 | 3 |
| 1 1 0 | 25.6 | 2 |
| 1 0 0 | 18.0 | 2 |
| 1 1 1 | 28.7 | 1 |
| 1 0 2 | 31.5 | 1 |
| 2 0 1 | 38.9 | 1 |

Atomic structure:
```
8
Lattice="4.916 0.000 0.000 0.000 4.916 0.000 0.000 0.000 6.954" Properties=species:S:1:pos:R:3 pbc="T T T"
Li 0.000 0.000 0.000
Li 2.458 2.458 3.477
La 0.000 2.458 5.187
La 2.458 0.000 1.767
Ga 0.000 2.458 1.722
Ga 2.458 0.000 5.232
Ag 2.458 2.458 0.000
Au 0.000 0.000 3.477
```

***

Entry 3:
The following is a simulated powder diffraction line list of LiGaAgAu. It was derived from a PBE-relaxed structure, using Cu Kα.

Top 11 peaks for 5° ≤ 2θ ≤ 70°, most intense first:
| h k l | Position (°2θ) | intensity |
| --- | --- | --- |
| 2 0 0 | 40.2 | 100 |
| 1 1 0 | 28.1 | 46 |
| 1 0 1 | 24.3 | 19 |
| 2 0 2 | 49.8 | 13 |
| 2 2 0 | 58.1 | 11 |
| 3 1 0 | 65.8 | 11 |
| 2 1 1 | 47.5 | 7 |
| 0 0 4 | 58.3 | 5 |
| 1 1 4 | 66.0 | 5 |
| 3 0 1 | 64.0 | 4 |
| 1 0 3 | 47.6 | 3 |

Atomic structure:
```
8
Lattice="4.489 0.000 0.000 0.000 4.489 0.000 0.000 0.000 6.329" Properties=species:S:1:pos:R:3 pbc="T T T"
Li 0.000 0.000 0.000
Li 2.244 2.244 3.165
Ga 0.000 0.000 3.165
Ga 2.244 2.244 0.000
Ag 0.000 2.244 4.746
Ag 2.244 0.000 1.583
Au 0.000 2.244 1.555
Au 2.244 0.000 4.774
```

***

Entry 4:
The following is a simulated powder diffraction line list of Lu2Ga2AgAu. It was derived from a PBE-relaxed structure, using Cu Kα.

Top 12 peaks for 5° ≤ 2θ ≤ 70°, most intense first:
| h k l | Position (°2θ) | intensity |
| --- | --- | --- |
| 0 1 2 | 34.8 | 100 |
| 1 1 0 | 39.9 | 65 |
| 2 0 2 | 53.9 | 29 |
| 1 2 2 | 69.2 | 27 |
| 1 1 4 | 68.7 | 21 |
| 1 0 0 | 22.7 | 14 |
| 0 0 4 | 53.4 | 8 |
| 0 1 1 | 26.2 | 6 |
| 0 1 3 | 46.0 | 4 |
| 0 0 1 | 12.9 | 4 |
| 1 0 4 | 58.8 | 4 |
| 2 0 0 | 46.4 | 2 |

Atomic structure:
```
6
Lattice="4.519 0.000 0.000 -2.260 3.914 0.000 0.000 0.000 6.862" Properties=species:S:1:pos:R:3 pbc="T T T"
Lu 0.000 0.000 0.000
Lu 0.000 0.000 3.385
Ga 0.000 2.609 1.455
Ga 0.000 2.609 5.373
Ag 2.260 1.305 5.038
Au 2.260 1.305 1.803
```